Cs4PdO2: calculated powder X-ray diffraction pattern (Cu Kα (weighted mean of Kα1 and Kα2)), based on a DFT-relaxed cell (GGA-PBE, Alexandria).
Peak positions follow from Bragg's law for the DFT cell and can differ from measured ones.

Main lines, low angle first (10 to 80 degrees two-theta):
d/Å  Rel. int.
3.373  100
2.781  84
2.764  12
2.146  28
2.121  23
1.699  32
1.686  11
1.606  23
1.442  13
1.286  14

Crystal structure
Lattice parameters (Å, degrees): 8.5037 8.5037 8.5037 38.18 38.18 38.18
Element x y z (fractional)
Cs 0.1152 0.1152 0.1152
Cs 0.2923 0.2923 0.2923
Cs 0.7077 0.7077 0.7077
Cs 0.8848 0.8848 0.8848
Pd 0.5000 0.5000 0.5000
O 0.4103 0.4103 0.4103
O 0.5897 0.5897 0.5897

Cs3PdO3: calculated powder X-ray diffraction pattern (Cu Kα (weighted mean of Kα1 and Kα2)), based on a DFT-relaxed cell (GGA-PBE, Alexandria).
Peak positions follow from Bragg's law for the DFT cell and can differ from measured ones.

Main lines, low angle first (10 to 80 degrees two-theta):
d/Å  Rel. int.
4.724  12
3.671  100
3.107  17
2.917  64
2.583  14
2.362  21
2.284  29
1.798  25
1.751  12
1.684  10

Crystal structure
Lattice parameters (Å, degrees): 6.9681 6.9681 6.9681 113.70 113.70 113.70
Element x y z (fractional)
Cs 0.0211 0.4894 0.4894
Cs 0.4894 0.0211 0.4894
Cs 0.4894 0.4894 0.0211
Pd 0.8307 0.8307 0.8307
O 0.6289 0.9165 0.9165
O 0.9165 0.6289 0.9165
O 0.9165 0.9165 0.6289

CsPdO3: calculated powder X-ray diffraction pattern (Cu Kα (weighted mean of Kα1 and Kα2)), based on a DFT-relaxed cell (GGA-PBE, Alexandria).
Peak positions follow from Bragg's law for the DFT cell and can differ from measured ones.

Main lines, low angle first (10 to 80 degrees two-theta):
d/Å  Rel. int.
3.370  100
3.215  41
3.123  39
2.326  61
2.240  48
2.002  17
1.847  14
1.602  25
1.493  25
1.451  16

Crystal structure
Lattice parameters (Å, degrees): 3.2152 4.0033 6.2455 90.00 90.00 90.00
Element x y z (fractional)
Cs 0.0000 0.0000 0.0000
Pd 0.0000 0.5000 0.5000
O 0.0000 0.0000 0.5000
O 0.5000 0.5000 0.2944
O 0.5000 0.5000 0.7056